Entry 1:
# MgCo4Ni2O12
Computed XRD peak list, Cu Kα. Input: the GGA+U geometry in the Materials Project.
Lines closer than 0.1° are merged.

Most intense lines, 10° ≤ 2θ ≤ 90°, sorted by position:
2θ/deg  Rel. int.
18.2  100
37.1  8
37.3  17
38.0  8
38.9  7
43.8  8
44.5  8
45.2  7
47.2  8
48.7  8

Structure:
```
MgCo4Ni2O12
1.0
4.8854 0.0000 0.0000
2.3959 4.2621 0.0000
1.2571 0.2528 9.7334
Mg Co Ni O
1 4 2 12
Cartesian
0.0000 0.0000 0.0000
1.2547 0.2637 7.1659
3.6814 1.6836 7.2848
3.2237 0.0727 2.4805
5.6309 1.4825 2.4816
3.1893 2.8973 2.4818
6.1088 3.1051 7.3136
2.0261 1.6450 8.2629
2.8217 3.0484 6.3280
2.3849 1.4574 3.3927
1.5408 0.0690 1.4643
4.4487 3.1591 8.2649
2.9511 0.2568 6.3296
4.8313 2.8911 3.3924
4.0960 1.3513 1.3809
4.5597 0.2617 8.2621
5.2825 1.7374 6.3335
4.7705 0.1865 3.4584
6.4656 2.9514 1.4657
```


Entry 2:
# MgCo4NiO8
Computed XRD peak list, Cu Kα. Input: the GGA+U geometry in the Materials Project.
Lines closer than 0.1° are merged.

Most intense lines, 10° ≤ 2θ ≤ 90°, sorted by position:
2θ/deg  Rel. int.
18.2  40
18.5  100
36.1  25
36.9  24
37.5  22
37.8  20
43.2  64
43.5  63
44.5  59
63.8  33

Structure:
```
MgCo4NiO8
1.0
5.7630 0.0000 0.0000
2.8551 5.0646 0.0000
2.7221 1.7528 4.8677
Mg Co Ni O
1 4 1 8
Cartesian
0.0000 0.0000 0.0000
1.4275 2.5323 0.0000
2.8815 0.0000 0.0000
4.2426 0.8764 2.4338
4.3090 2.5323 0.0000
5.6701 3.4087 2.4338
5.6490 5.0403 3.7697
4.2735 2.5459 3.7457
2.9250 1.6374 1.0235
4.4087 4.1350 0.9880
6.9315 2.6824 3.8797
8.4152 5.1801 3.8442
7.0667 4.2715 1.1220
5.6912 1.7771 1.0980
```


Entry 3:
# Mg6CoNiO8
Computed XRD peak list, Cu Kα. Input: the GGA+U geometry in the Materials Project.
Lines closer than 0.1° are merged.

Most intense lines, 10° ≤ 2θ ≤ 90°, sorted by position:
2θ/deg  Rel. int.
10.4  54
31.6  15
36.6  42
42.4  51
42.6  100
43.9  14
61.6  57
61.8  28
74.0  14
77.8  26

Structure:
```
Mg6CoNiO8
1.0
4.2479 0.0000 0.0000
0.0000 4.2479 0.0000
0.0000 0.0000 8.5313
Mg Co Ni O
6 1 1 8
Cartesian
0.0000 0.0000 0.0000
0.0000 2.1239 2.1507
0.0000 2.1239 6.3806
2.1239 0.0000 2.1507
2.1239 0.0000 6.3806
2.1239 2.1239 0.0000
0.0000 0.0000 4.2656
2.1239 2.1239 4.2656
0.0000 0.0000 2.1197
0.0000 0.0000 6.4116
0.0000 2.1239 0.0000
0.0000 2.1239 4.2656
2.1239 0.0000 0.0000
2.1239 0.0000 4.2656
2.1239 2.1239 2.1303
2.1239 2.1239 6.4010
```


Entry 4:
# MgCo4Ni2O8
Computed XRD peak list, Cu Kα. Input: the GGA+U geometry in the Materials Project.
Lines closer than 0.1° are merged.

Most intense lines, 10° ≤ 2θ ≤ 90°, sorted by position:
2θ/deg  Rel. int.
30.7  60
34.6  82
34.7  78
35.5  93
35.9  73
36.0  90
42.3  100
43.5  61
54.5  50
63.8  73

Structure:
```
MgCo4Ni2O8
1.0
5.0674 -2.8993 0.0000
5.0674 2.8993 0.0000
-3.6088 0.0000 5.1885
Mg Co Ni O
1 4 2 8
Cartesian
0.0000 0.0000 0.0000
0.0324 0.0000 2.4322
5.0674 0.0000 0.0000
3.2630 0.0000 2.5943
6.4935 0.0000 2.7563
2.5337 1.4496 0.0000
2.5337 -1.4496 0.0000
2.2497 1.3978 3.9693
4.2762 1.3978 1.2192
1.7531 0.0000 1.3825
-0.1741 0.0000 4.2585
6.7001 0.0000 0.9300
4.7728 0.0000 3.8060
2.2497 -1.3978 3.9693
4.2762 -1.3978 1.2192
```


Entry 5:
# MgCo2NiO6
Computed XRD peak list, Cu Kα. Input: the GGA+U geometry in the Materials Project.
Lines closer than 0.1° are merged.

Most intense lines, 10° ≤ 2θ ≤ 90°, sorted by position:
2θ/deg  Rel. int.
18.4  100
36.2  12
36.4  23
37.3  14
43.6  51
44.6  23
62.0  7
63.9  13
64.4  12
64.7  7

Structure:
```
MgCo2NiO6
1.0
2.8830 0.0000 0.0000
0.0001 5.9853 0.0000
1.3746 1.5036 6.0904
Mg Co Ni O
1 2 1 6
Cartesian
0.0000 0.0000 0.0000
1.3927 1.5654 2.1164
2.8481 5.9156 3.9769
2.8749 2.9910 0.0084
1.3654 4.7502 4.0647
1.4019 1.2329 3.9818
1.4529 1.4788 0.2193
2.8059 6.0092 5.8764
2.8409 6.2527 2.1105
2.8972 2.7318 2.0353
```


Entry 6:
# MgCo2NiO6
Computed XRD peak list, Cu Kα. Input: the GGA+U geometry in the Materials Project.
Lines closer than 0.1° are merged.

Most intense lines, 10° ≤ 2θ ≤ 90°, sorted by position:
2θ/deg  Rel. int.
18.5  100
35.1  16
35.5  15
36.5  10
37.4  13
42.9  29
43.1  29
44.2  24
57.1  9
63.4  20

Structure:
```
MgCo2NiO6
1.0
2.9008 0.0000 0.0000
0.1516 5.9298 0.0000
1.3670 1.3695 6.3185
Mg Co Ni O
1 2 1 6
Cartesian
0.0000 0.0000 0.0000
1.4210 1.5697 2.1814
3.0313 5.7047 4.1069
1.4461 4.3539 6.3119
1.4593 4.5351 4.1859
1.4465 1.1170 4.1452
1.4960 1.4994 0.1753
2.9290 5.8297 6.1410
2.9031 6.1635 2.1091
3.0646 2.7676 2.1133
```


Entry 7:
# MgCo5NiO12
Computed XRD peak list, Cu Kα. Input: the GGA+U geometry in the Materials Project.
Lines closer than 0.1° are merged.

Most intense lines, 10° ≤ 2θ ≤ 90°, sorted by position:
2θ/deg  Rel. int.
17.8  100
36.8  7
37.8  12
38.0  17
41.2  17
45.9  16
46.2  9
52.4  12
60.0  8
67.0  10

Structure:
```
MgCo5NiO12
1.0
4.8790 0.0000 0.0000
2.4337 4.2353 0.0000
0.0030 0.0755 9.9937
Mg Co Ni O
1 5 1 12
Cartesian
0.0000 0.0000 0.0000
0.4386 0.7567 2.5732
2.8663 2.1553 2.5228
2.8736 0.7808 7.4660
5.3065 3.5656 2.5213
5.3048 2.1910 7.4396
2.8749 3.5882 7.4015
1.2482 2.1662 1.5299
2.0370 3.5396 3.4639
1.1846 0.7469 8.4624
2.0410 2.1755 6.5082
3.6409 3.5794 1.5086
2.0948 0.7486 3.4651
3.6851 2.2162 8.4310
4.5144 3.5861 6.5088
4.4826 2.1896 3.4641
3.7124 0.7211 1.5066
4.4975 0.7992 6.5062
6.1788 3.6125 8.4582
```


Entry 8:
# MgCo5NiO12
Computed XRD peak list, Cu Kα. Input: the GGA+U geometry in the Materials Project.
Lines closer than 0.1° are merged.

Most intense lines, 10° ≤ 2θ ≤ 90°, sorted by position:
2θ/deg  Rel. int.
17.5  100
36.8  7
37.8  12
38.0  8
38.1  8
41.0  7
41.1  8
45.6  15
46.3  6
67.0  7

Structure:
```
MgCo5NiO12
1.0
4.8807 0.0000 0.0000
2.4376 4.2317 0.0000
0.1471 -0.0313 10.1111
Mg Co Ni O
1 5 1 12
Cartesian
0.0000 0.0000 0.0000
2.1695 2.1122 7.5600
0.8964 0.0125 2.5862
4.6019 3.5224 7.5759
4.5986 0.7175 7.4634
5.7574 2.8337 2.5426
3.3206 1.4213 2.5095
1.2941 0.6863 8.5732
1.7203 1.4533 3.4754
2.5039 2.8660 1.5269
2.9803 3.4997 6.6096
2.9535 0.7165 6.6119
3.7894 2.0924 8.5402
4.1583 2.8000 3.4765
2.5231 0.0107 1.5487
4.0958 0.0186 3.4755
5.4356 2.1323 6.6117
6.2885 3.5593 8.5727
4.9339 1.3800 1.5229
```


Entry 9:
# MgCo4NiO8
Computed XRD peak list, Cu Kα. Input: the GGA+U geometry in the Materials Project.
Lines closer than 0.1° are merged.

Most intense lines, 10° ≤ 2θ ≤ 90°, sorted by position:
2θ/deg  Rel. int.
17.9  100
18.8  27
36.3  33
37.8  18
38.0  18
38.1  18
43.1  57
43.4  56
44.4  53
62.5  31

Structure:
```
MgCo4NiO8
1.0
5.7335 0.0000 0.0000
-2.7947 5.0452 0.0000
-2.8126 -1.7400 4.9466
Mg Co Ni O
1 4 1 8
Cartesian
0.0000 0.0000 0.0000
-2.8037 1.6526 2.4733
1.4604 -0.8700 2.4733
1.4694 2.5226 0.0000
0.0631 1.6526 2.4733
-1.4063 -0.8700 2.4733
-2.7348 3.3381 1.2698
-1.3532 0.7702 1.4738
-0.0272 0.0014 3.4775
-1.2630 2.4417 3.6217
1.3891 0.8635 1.3249
0.1534 3.3038 1.4691
1.4793 2.5350 3.4728
2.8609 -0.0329 3.6768
```